(1)
# GaAgPtO4
Computed powder diffractogram, Cu Kα. Input: the PBE geometry in Alexandria.
Neutral-atom scattering factors, no anomalous dispersion.

Peak list (8 most intense, 5 to 70 degrees two-theta, by angle)
two_theta  d [Å]  I_rel
17.6  5.052  631
28.3  3.152  297
32.9  2.724  1000
33.4  2.679  604
33.9  2.644  342
34.2  2.620  366
54.1  1.695  296
58.6  1.576  472

Crystal structure
a b c (Å): 6.309 6.309 6.309
angles (deg): 121.93 118.33 89.81
Element x y z (fractional)
1 Ga 0.500 0.000 0.000
2 Ga 0.500 0.500 0.500
3 Ag 0.106 0.356 0.750
4 Ag 0.894 0.644 0.250
5 Pt 0.000 0.000 0.000
6 Pt 0.500 0.000 0.500
7 O 0.269 0.230 0.461
8 O 0.269 0.809 0.039
9 O 0.276 0.229 0.047
10 O 0.318 0.771 0.547
11 O 0.682 0.229 0.453
12 O 0.724 0.771 0.953
13 O 0.731 0.191 0.961
14 O 0.731 0.770 0.539

***

(2)
# TlIn2MoPt
Computed powder diffractogram, Cu Kα. Input: the PBE geometry in Alexandria.
Neutral-atom scattering factors, no anomalous dispersion.

Peak list (8 most intense, 5 to 70 degrees two-theta, by angle)
two_theta  d [Å]  I_rel
23.4  3.808  775
28.7  3.114  593
33.1  2.704  1000
33.4  2.681  488
40.9  2.205  372
47.6  1.912  363
47.8  1.904  715
59.4  1.557  372

Crystal structure
a b c (Å): 5.409 5.409 5.361
angles (deg): 90.00 90.00 90.00
Element x y z (fractional)
1 Tl 0.000 0.000 0.000
2 In 0.000 0.500 0.000
3 In 0.500 0.000 0.000
4 Mo 0.000 0.000 0.500
5 Pt 0.500 0.500 0.500

***

(3)
# Ac2DyTe2O2
Computed powder diffractogram, Cu Kα. Input: the PBE geometry in Alexandria.
Neutral-atom scattering factors, no anomalous dispersion.

Peak list (8 most intense, 5 to 70 degrees two-theta, by angle)
two_theta  d [Å]  I_rel
27.9  3.195  861
32.7  2.737  1000
35.0  2.565  170
39.9  2.259  393
52.5  1.742  533
57.7  1.598  134
65.3  1.429  163
67.9  1.380  124

Crystal structure
a b c (Å): 9.173 9.173 9.173
angles (deg): 151.48 151.48 40.77
Element x y z (fractional)
1 Ac 0.114 0.114 0.000
2 Ac 0.886 0.886 0.000
3 Dy 0.500 0.500 0.000
4 Te 0.320 0.320 0.000
5 Te 0.680 0.680 0.000
6 O 0.000 0.500 0.500
7 O 0.500 0.000 0.500